Computed PXRD pattern
Compound: Sr2Mg2Cd
Radiation: CuKα
Structure: the GGA-PBE geometry in Alexandria
Kinematic intensities with the Lorentz-polarization factor, no thermal factor.

Principal peaks in the range 15 to 90 degrees two-theta, in order of rising 2θ:
16.73 deg, I = 78, hkl 1 1 -1
26.14 deg, I = 68, hkl 3 1 -1
27.07 deg, I = 68, hkl 0 2 1
27.23 deg, I = 81, hkl 3 1 0
29.27 deg, I = 60, hkl 1 1 2
29.53 deg, I = 100, hkl 2 2 0
32.63 deg, I = 86, hkl 3 1 1
32.82 deg, I = 71, hkl 4 0 -2
34.65 deg, I = 83, hkl 1 1 -3
40.67 deg, I = 57, hkl 1 3 1

Structural model:
```
data_Sr2Mg2Cd
_chemical_formula_sum 'Sr8 Mg8 Cd4'
_symmetry_space_group_name_H-M 'C 1 2/c 1'
_symmetry_Int_Tables_number 15
_cell_length_a 11.696
_cell_length_b 7.254
_cell_length_c 8.360
_cell_angle_alpha 90.00
_cell_angle_beta 109.73
_cell_angle_gamma 90.00
loop_
_symmetry_equiv_pos_as_xyz
'x,y,z'
'-x,-y,-z'
'-x,y,-z+1/2'
'x,-y,z+1/2'
'x+1/2,y+1/2,z'
'-x+1/2,-y+1/2,-z'
'-x+1/2,y+1/2,-z+1/2'
'x+1/2,-y+1/2,z+1/2'
loop_
_atom_site_label
_atom_site_fract_x
_atom_site_fract_y
_atom_site_fract_z
Sr1 0.169 0.085 0.150
Mg1 0.089 0.373 0.452
Cd1 0.000 0.283 0.750
```